# 1
SmGdNi: computed powder diffraction line list (λ = 1.5418 Å (Cu Kα)), based on DFT lattice parameters and positions (GGA-PBE).
No peak broadening, texture or thermal motion is included.

Largest 8 diffraction maxima, in order of rising 2θ, 15 to 90 degrees two-theta:
- 28.2°, intensity 14.8, (0 0 2)
- 29.8°, intensity 100.0, (1 0 1)
- 38.9°, intensity 31.9, (1 0 2)
- 46.2°, intensity 28.0, (1 1 0)
- 50.9°, intensity 23.2, (0 1 3)
- 55.0°, intensity 14.3, (1 1 2)
- 56.0°, intensity 17.0, (0 2 1)
- 75.4°, intensity 14.0, (2 1 1)

Unit cell a=3.9303 b=3.9303 c=6.3263 alpha=90.00 beta=90.00 gamma=120.00
Space group P3m1 (No. 156)
One atom of each set of equivalent atoms:
Sm1 0.0000 0.0000 0.0000 (multiplicity 1)
Gd1 0.3333 0.6667 0.4883 (multiplicity 1)
Ni1 0.6667 0.3333 0.2471 (multiplicity 1)

---

# 2
Tm2Ga3Ni: computed powder diffraction line list (λ = 1.5418 Å (Cu Kα)), based on DFT lattice parameters and positions (GGA-PBE).
No peak broadening, texture or thermal motion is included.

Largest 8 diffraction maxima, in order of rising 2θ, 15 to 90 degrees two-theta:
- 23.8°, intensity 20.7, (0 1 1)
- 34.9°, intensity 100.0, (1 1 1)
- 41.8°, intensity 32.0, (0 1 3)
- 42.0°, intensity 17.1, (0 2 0)
- 51.5°, intensity 9.4, (2 0 0)
- 55.7°, intensity 16.8, (1 2 2)
- 68.5°, intensity 14.5, (2 1 3)
- 72.2°, intensity 8.0, (1 3 1)

Unit cell a=3.546 b=4.301 c=7.490 alpha=90.00 beta=90.00 gamma=90.00
Space group Pmm2 (No. 25)
One atom of each set of equivalent atoms:
Tm1 0.000 0.000 0.000 (multiplicity 1)
Tm2 0.000 0.500 0.463 (multiplicity 1)
Ga1 0.500 0.000 0.633 (multiplicity 1)
Ga2 0.500 0.500 0.153 (multiplicity 1)
Ga3 0.500 0.500 0.813 (multiplicity 1)
Ni1 0.500 0.000 0.308 (multiplicity 1)

---

# 3
ErTh2PaN4: computed powder diffraction line list (λ = 1.5418 Å (Cu Kα)), based on DFT lattice parameters and positions (GGA-PBE).
No peak broadening, texture or thermal motion is included.

Largest 8 diffraction maxima, in order of rising 2θ, 15 to 90 degrees two-theta:
- 30.4°, intensity 34.9, (0 0 2)
- 30.9°, intensity 100.0, (2 0 0)
- 35.6°, intensity 59.7, (1 1 1)
- 35.8°, intensity 29.5, (2 0 -2)
- 51.0°, intensity 32.1, (2 0 2)
- 51.7°, intensity 20.7, (3 1 -1)
- 60.5°, intensity 10.9, (1 1 3)
- 61.2°, intensity 20.8, (3 1 -3)

Unit cell a=6.118 b=3.548 c=6.221 alpha=90.00 beta=109.03 gamma=90.00
Space group P2/m (No. 10)
One atom of each set of equivalent atoms:
Er1 0.000 0.000 0.000 (multiplicity 1)
Th1 0.000 0.500 0.500 (multiplicity 1)
Th2 0.500 0.000 0.500 (multiplicity 1)
Pa1 0.500 0.500 0.000 (multiplicity 1)
N1 0.250 0.500 0.227 (multiplicity 2)
N2 0.262 0.000 0.778 (multiplicity 2)

---

# 4
Cs2GeP4O13: computed powder diffraction line list (λ = 1.5418 Å (Cu Kα)), based on DFT lattice parameters and positions (GGA-PBE).
No peak broadening, texture or thermal motion is included.

Largest 8 diffraction maxima, in order of rising 2θ, 15 to 90 degrees two-theta:
- 22.1°, intensity 49.8, (0 0 4)
- 22.5°, intensity 43.3, (0 2 0)
- 23.6°, intensity 47.4, (1 1 -2)
- 25.4°, intensity 100.0, (-1 1 2)
- 25.8°, intensity 81.3, (0 2 -2)
- 27.2°, intensity 54.9, (1 0 4)
- 27.4°, intensity 61.3, (1 2 2)
- 31.4°, intensity 36.2, (1 1 -4)

Unit cell a=5.070 b=8.057 c=16.239 alpha=84.93 beta=84.32 gamma=80.48
Space group P-1 (No. 2)
One atom of each set of equivalent atoms:
Cs1 0.181 0.241 0.489 (multiplicity 2)
Cs2 0.224 0.204 0.973 (multiplicity 2)
Ge1 0.045 0.439 0.242 (multiplicity 2)
P1 0.162 0.905 0.697 (multiplicity 2)
P2 0.180 0.813 0.213 (multiplicity 2)
P3 0.389 0.715 0.846 (multiplicity 2)
P4 0.475 0.588 0.335 (multiplicity 2)
O1 0.013 0.092 0.715 (multiplicity 2)
O2 0.043 0.664 0.195 (multiplicity 2)
O3 0.051 0.212 0.289 (multiplicity 2)
O4 0.219 0.480 0.671 (multiplicity 2)
O5 0.225 0.577 0.828 (multiplicity 2)
O6 0.244 0.925 0.138 (multiplicity 2)
O7 0.300 0.795 0.926 (multiplicity 2)
O8 0.302 0.918 0.612 (multiplicity 2)
O9 0.308 0.360 0.157 (multiplicity 2)
O10 0.316 0.451 0.313 (multiplicity 2)
O11 0.361 0.858 0.768 (multiplicity 2)
O12 0.381 0.657 0.417 (multiplicity 2)
O13 0.441 0.738 0.260 (multiplicity 2)